[1]
Structure and computed powder X-ray diffraction pattern of Np2ScPaAs4 (a crystal structure in Alexandria, relaxed with PBE; copper Kα).

Cell and atoms:
Cell lengths 7.0064, 4.0571, 7.0363 Å; angles 90.00, 109.51, 90.00 degrees
Space group P2/m (No. 10)
Asymmetric unit:
Np (0.0000, 0.0000, 0.0000) [1 per cell]
Np (0.0000, 0.5000, 0.5000) [1 per cell]
Sc (0.5000, 0.0000, 0.5000) [1 per cell]
Pa (0.5000, 0.5000, 0.0000) [1 per cell]
As (0.2565, 0.0000, 0.7440) [2 per cell]
As (0.2594, 0.5000, 0.2589) [2 per cell]

Most intense lines, 10° ≤ 2θ ≤ 90°, low angle first:
Position (°2θ)	I_rel	h k l
13.38	12	1 0 0
26.91	23	0 0 2
31.20	100	1 1 1
44.64	38	0 2 0
44.76	37	2 0 2
55.46	20	2 2 -2
65.07	12	2 2 2
73.83	17	1 3 1
74.01	17	4 2 0
82.27	11	1 3 -3



[2]
Structure and computed powder X-ray diffraction pattern of Co3GeH (a crystal structure in Alexandria, relaxed with PBE; copper Kα).

Cell and atoms:
Cell lengths 5.1069, 5.1069, 4.1417 Å; angles 90.00, 90.00, 120.00 degrees
Space group P6_3/m (No. 176)
Asymmetric unit:
Co (0.1688, 0.8292, 0.2500) [6 per cell]
Ge (0.3333, 0.6667, 0.7500) [2 per cell]
H (0.0000, 0.0000, 0.0000) [2 per cell]

Most intense lines, 10° ≤ 2θ ≤ 90°, low angle first:
Position (°2θ)	I_rel	h k l
20.08	1	1 0 0
29.55	1	1 0 1
40.81	24	2 0 0
43.71	27	0 0 2
46.56	100	2 0 1
59.65	1	2 1 1
61.33	14	2 0 2
74.29	15	2 2 0
82.34	17	2 0 3
88.41	2	4 0 0



[3]
Structure and computed powder X-ray diffraction pattern of KNa12Hg6 (a crystal structure in Alexandria, relaxed with PBE; copper Kα).

Cell and atoms:
Cell lengths 11.6679, 11.6679, 14.7269 Å; angles 90.00, 90.00, 120.00 degrees
Space group R-3 (No. 148, hexagonal axes)
Asymmetric unit:
K (0.0000, 0.0000, 0.0000) [3 per cell]
Na (0.0339, 0.1991, 0.8071) [18 per cell]
Na (0.0569, 0.8330, 0.4158) [18 per cell]
Hg (0.0124, 0.4300, 0.7041) [18 per cell]

Most intense lines, 10° ≤ 2θ ≤ 90°, low angle first:
Position (°2θ)	I_rel	h k l
15.19	48	1 1 0
18.07	39	0 0 3
21.33	45	2 0 2
23.69	53	1 1 3
24.07	26	3 -1 1
32.52	100	1 3 1
33.82	37	2 1 4
34.23	47	4 -1 2
35.27	27	2 0 5
40.45	28	4 -3 4



[4]
Structure and computed powder X-ray diffraction pattern of La3Mg4Sc (a crystal structure in Alexandria, relaxed with PBE; copper Kα).

Cell and atoms:
Cell lengths 3.8476, 3.8476, 15.7013 Å; angles 90.00, 90.00, 90.00 degrees
Space group P4/mmm (No. 123)
Asymmetric unit:
La (0.0000, 0.0000, 0.0000) [1 per cell]
La (0.0000, 0.0000, 0.2628) [2 per cell]
Mg (0.5000, 0.5000, 0.1306) [2 per cell]
Mg (0.5000, 0.5000, 0.3965) [2 per cell]
Sc (0.0000, 0.0000, 0.5000) [1 per cell]

Most intense lines, 10° ≤ 2θ ≤ 90°, low angle first:
Position (°2θ)	I_rel	h k l
22.65	26	0 0 4
23.12	51	1 0 0
28.80	15	1 0 3
32.59	100	1 0 4
32.92	53	1 1 0
40.33	23	1 1 4
47.25	19	2 0 0
53.23	11	2 1 0
57.94	15	1 1 8
58.57	36	2 1 4



[5]
Structure and computed powder X-ray diffraction pattern of Rb4Pu3BeO8 (a crystal structure in Alexandria, relaxed with PBE; copper Kα).

Cell and atoms:
Cell lengths 12.5421, 6.7644, 7.5348 Å; angles 90.00, 119.35, 90.00 degrees
Space group C2/m (No. 12)
Asymmetric unit:
Rb (0.0000, 0.0000, 0.0000) [2 per cell]
Rb (0.0000, 0.5000, 0.0000) [2 per cell]
Rb (0.2500, 0.2500, 0.0000) [4 per cell]
Pu (0.0000, 0.0000, 0.5000) [2 per cell]
Pu (0.2500, 0.2500, 0.5000) [4 per cell]
Be (0.0000, 0.5000, 0.5000) [2 per cell]
O (0.0329, 0.2909, 0.3589) [8 per cell]
O (0.2214, 0.0000, 0.6830) [4 per cell]
O (0.2312, 0.0000, 0.2918) [4 per cell]

Most intense lines, 10° ≤ 2θ ≤ 90°, low angle first:
Position (°2θ)	I_rel	h k l
13.48	71	0 0 1
15.40	28	1 1 0
27.16	77	0 0 2
30.61	64	4 0 -2
31.10	97	2 2 0
32.77	65	4 0 0
35.81	100	2 2 -2
47.07	42	2 2 2
51.50	36	6 2 -2
56.96	25	2 2 -4



[6]
Structure and computed powder X-ray diffraction pattern of Tb8Sm6Y (a crystal structure in Alexandria, relaxed with PBE; copper Kα).

Cell and atoms:
Cell lengths 9.4851, 9.4851, 6.5637 Å; angles 90.00, 90.00, 120.00 degrees
Space group P-3 (No. 147)
Asymmetric unit:
Tb (0.0171, 0.6926, 0.1070) [6 per cell]
Tb (0.3333, 0.6667, 0.8479) [2 per cell]
Sm (0.0861, 0.4084, 0.3999) [6 per cell]
Y (0.0000, 0.0000, 0.5000) [1 per cell]

Most intense lines, 10° ≤ 2θ ≤ 90°, low angle first:
Position (°2θ)	I_rel	h k l
18.71	15	1 1 0
25.58	35	2 0 1
28.75	13	1 2 0
29.31	16	1 0 2
31.89	69	1 2 1
32.71	72	3 0 0
33.20	100	2 -1 2
35.52	12	3 0 1
47.29	13	2 2 2
50.38	23	5 -3 1